# K2ErF5
Computed XRD peak list, Cu Kα, 1.54184 Å. Input: DFT lattice parameters and positions (GGA-PBE).
Lines closer than 0.1° are merged.

Top 6 peaks for 15° ≤ 2θ ≤ 90°, low angle first:
Position (°2θ)  d/Å  I (rel.)
15.53  5.707  100
16.16  5.486  52
27.81  3.208  58
29.14  3.064  73
29.50  3.028  43
40.19  2.244  31

Crystal structure
Cell lengths 10.9721, 7.2640, 6.6824 Å; angles 90.00, 90.00, 90.00 degrees
Fractional coordinates of all 32 atoms:
K  0.1710  0.0030  0.0347
K  0.1710  0.4970  0.0347
K  0.3290  0.5030  0.5347
K  0.3290  0.9970  0.5347
K  0.6710  0.0030  0.4653
K  0.6710  0.4970  0.4653
K  0.8290  0.5030  0.9653
K  0.8290  0.9970  0.9653
Er  0.0025  0.2500  0.5637
Er  0.4975  0.7500  0.0637
Er  0.5025  0.2500  0.9363
Er  0.9975  0.7500  0.4363
F  0.0139  0.2500  0.8898
F  0.0729  0.5358  0.6469
F  0.0729  0.9642  0.6469
F  0.1661  0.2500  0.3776
F  0.1890  0.7500  0.3431
F  0.3110  0.2500  0.8431
F  0.3339  0.7500  0.8776
F  0.4271  0.0358  0.1469
F  0.4271  0.4642  0.1469
F  0.4861  0.7500  0.3898
F  0.5139  0.2500  0.6102
F  0.5729  0.5358  0.8531
F  0.5729  0.9642  0.8531
F  0.6661  0.2500  0.1224
F  0.6890  0.7500  0.1569
F  0.8110  0.2500  0.6569
F  0.8339  0.7500  0.6224
F  0.9271  0.0358  0.3531
F  0.9271  0.4642  0.3531
F  0.9861  0.7500  0.1102



# K3ErF6
Computed XRD peak list, Cu Kα, 1.54184 Å. Input: DFT lattice parameters and positions (GGA-PBE).
Lines closer than 0.1° are merged.

Top 6 peaks for 15° ≤ 2θ ≤ 90°, low angle first:
Position (°2θ)  d/Å  I (rel.)
16.33  5.427  65
18.88  4.700  50
26.82  3.324  100
31.57  2.834  29
38.30  2.350  48
47.38  1.919  39

Crystal structure
Cell lengths 6.6472, 6.6472, 6.6472 Å; angles 60.00, 60.00, 60.00 degrees
Fractional coordinates of all 10 atoms:
K  0.0000  0.0000  0.0000
K  0.2500  0.2500  0.2500
K  0.7500  0.7500  0.7500
Er  0.5000  0.5000  0.5000
F  0.2705  0.2705  0.7295
F  0.2705  0.7295  0.2705
F  0.2705  0.7295  0.7295
F  0.7295  0.2705  0.2705
F  0.7295  0.2705  0.7295
F  0.7295  0.7295  0.2705